Starting from a GGA-PBE-relaxed structure, the PXRD pattern of Li2Mg2I7 was simulated for Cu Kα.
Intensities are scaled so that the largest is 100.

Structural model:
Cell lengths 11.6551, 11.6919, 7.7668 Å; angles 90.00, 117.47, 90.00 degrees
Space group C2/m (No. 12)
Asymmetric unit:
Li 0.0000 0.1820 0.0000 x4
Mg 0.2095 0.5000 0.4211 x4
I 0.0000 0.5000 0.5000 x2
I 0.0396 0.0000 0.2699 x4
I 0.2190 0.3054 0.2296 x8

Top 12 peaks for 15° ≤ 2θ ≤ 90°, low angle first:
2θ 19.95, rel. 41, (0 2 1)
2θ 22.96, rel. 100, (2 2 0)
2θ 24.16, rel. 36, (3 1 -1)
2θ 24.38, rel. 31, (1 1 -2)
2θ 25.71, rel. 57, (1 3 -1)
2θ 25.87, rel. 48, (0 0 2)
2θ 27.93, rel. 24, (3 1 -2)
2θ 28.09, rel. 43, (2 2 -2)
2θ 34.70, rel. 20, (4 0 0)
2θ 38.77, rel. 21, (1 3 2)
2θ 43.01, rel. 18, (1 5 1)
2θ 45.27, rel. 19, (3 5 -1)